(1)
This entry pairs a crystal structure of Li4CoNi3O8 with its computed powder diffractogram. Radiation: Cu Kα X-rays. Structure: a DFT-relaxed cell (GGA+U, the Materials Project).
Kinematic intensities with the Lorentz-polarization factor, no thermal factor.

Cell and atoms:
Cell lengths 5.784, 5.786, 5.795 Å; angles 90.74, 119.55, 119.54 degrees
Fractional positions:
Li1 0.000 0.000 0.000
Li2 0.000 0.000 0.500
Li3 0.500 0.500 0.000
Li4 0.500 0.500 0.500
Co1 0.000 0.500 0.000
Ni1 0.000 0.500 0.500
Ni2 0.500 0.000 0.000
Ni3 0.500 0.000 0.500
O1 0.001 0.720 0.759
O2 0.006 0.261 0.769
O3 0.461 0.741 0.239
O4 0.465 0.754 0.717
O5 0.535 0.246 0.283
O6 0.539 0.259 0.761
O7 0.994 0.739 0.231
O8 0.999 0.280 0.241

Peak list (8 most intense, 2θ = 5–70°, in order of falling intensity)
18.75°, I 100; 43.95°, I 49; 36.19°, I 30; 44.55°, I 24; 37.99°, I 22; 36.51°, I 14; 64.30°, I 13; 63.90°, I 13

***

(2)
This entry pairs a crystal structure of Li5Co4NiO10 with its computed powder diffractogram. Radiation: Cu Kα X-rays. Structure: a DFT-relaxed cell (GGA+U, the Materials Project).
Kinematic intensities with the Lorentz-polarization factor, no thermal factor.

Cell and atoms:
Cell lengths 5.167, 5.167, 12.448 Å; angles 100.76, 100.76, 33.74 degrees
Fractional positions:
Li1 0.000 0.000 0.000
Li2 0.199 0.199 0.398
Li3 0.401 0.401 0.801
Li4 0.599 0.599 0.199
Li5 0.801 0.801 0.602
Co1 0.096 0.096 0.697
Co2 0.301 0.301 0.101
Co3 0.699 0.699 0.899
Co4 0.904 0.904 0.303
Ni1 0.500 0.500 0.500
O1 0.059 0.059 0.847
O2 0.144 0.144 0.560
O3 0.259 0.259 0.243
O4 0.343 0.343 0.956
O5 0.459 0.459 0.655
O6 0.541 0.541 0.345
O7 0.657 0.657 0.044
O8 0.741 0.741 0.757
O9 0.856 0.856 0.440
O10 0.941 0.941 0.153

Peak list (8 most intense, 2θ = 5–70°, in order of falling intensity)
18.32°, I 100; 42.74°, I 55; 35.37°, I 32; 44.82°, I 23; 63.22°, I 14; 64.08°, I 13; 36.81°, I 12; 37.33°, I 10

***

(3)
This entry pairs a crystal structure of Li2Co3NiO8 with its computed powder diffractogram. Radiation: Cu Kα X-rays. Structure: a DFT-relaxed cell (GGA+U, the Materials Project).
Kinematic intensities with the Lorentz-polarization factor, no thermal factor.

Cell and atoms:
Cell lengths 5.640, 5.640, 5.824 Å; angles 118.63, 118.63, 61.08 degrees
Fractional positions:
Li1 0.000 0.000 0.000
Li2 0.500 0.500 0.000
Co1 0.000 0.000 0.500
Co2 0.000 0.500 0.500
Co3 0.500 0.000 0.500
Ni1 0.500 0.500 0.500
O1 0.221 0.740 0.711
O2 0.238 0.238 0.703
O3 0.260 0.779 0.289
O4 0.264 0.264 0.302
O5 0.736 0.736 0.698
O6 0.740 0.221 0.711
O7 0.762 0.762 0.297
O8 0.779 0.260 0.289

Peak list (8 most intense, 2θ = 5–70°, in order of falling intensity)
18.33°, I 100; 44.37°, I 35; 36.93°, I 22; 44.91°, I 16; 37.55°, I 10; 58.08°, I 10; 66.30°, I 9; 63.64°, I 9

***

(4)
This entry pairs a crystal structure of LiCoNiO4 with its computed powder diffractogram. Radiation: Cu Kα X-rays. Structure: a DFT-relaxed cell (GGA+U, the Materials Project).
Kinematic intensities with the Lorentz-polarization factor, no thermal factor.

Cell and atoms:
Cell lengths 5.793, 5.793, 5.793 Å; angles 121.80, 120.61, 87.93 degrees
Fractional positions:
Li1 0.000 0.000 0.000
Li2 0.500 0.000 0.500
Co1 0.500 0.000 0.000
Co2 0.500 0.500 0.500
Ni1 0.000 0.500 0.500
Ni2 0.500 0.500 0.000
O1 0.273 0.295 0.522
O2 0.273 0.751 0.978
O3 0.282 0.249 0.034
O4 0.285 0.751 0.534
O5 0.715 0.249 0.466
O6 0.718 0.751 0.966
O7 0.727 0.249 0.022
O8 0.727 0.705 0.478

Peak list (8 most intense, 2θ = 5–70°, in order of falling intensity)
18.77°, I 100; 19.01°, I 71; 45.10°, I 62; 43.40°, I 35; 64.38°, I 34; 37.15°, I 22; 36.76°, I 19; 38.06°, I 14

***

(5)
This entry pairs a crystal structure of Li3CoNi3O8 with its computed powder diffractogram. Radiation: Cu Kα X-rays. Structure: a DFT-relaxed cell (GGA+U, the Materials Project).
Kinematic intensities with the Lorentz-polarization factor, no thermal factor.

Cell and atoms:
Cell lengths 5.644, 5.775, 14.326 Å; angles 89.07, 89.94, 60.95 degrees
Fractional positions:
Li1 0.000 0.000 0.000
Li2 0.000 0.500 0.000
Li3 0.166 0.167 0.668
Li4 0.169 0.663 0.666
Li5 0.334 0.833 0.333
Li6 0.500 0.500 0.000
Li7 0.666 0.167 0.667
Li8 0.831 0.337 0.334
Li9 0.834 0.833 0.332
Co1 0.000 0.000 0.500
Co2 0.333 0.332 0.837
Co3 0.667 0.668 0.163
Ni1 0.000 0.500 0.500
Ni2 0.168 0.666 0.169
Ni3 0.169 0.167 0.166
Ni4 0.335 0.832 0.833
Ni5 0.500 0.000 0.500
Ni6 0.500 0.500 0.500
Ni7 0.665 0.167 0.167
Ni8 0.831 0.833 0.833
Ni9 0.832 0.334 0.831
O1 0.005 0.014 0.761
O2 0.020 0.478 0.762
O3 0.140 0.192 0.908
O4 0.143 0.687 0.430
O5 0.178 0.140 0.426
O6 0.190 0.646 0.906
O7 0.317 0.842 0.572
O8 0.328 0.352 0.572
O9 0.334 0.358 0.099
O10 0.337 0.812 0.095
O11 0.473 0.029 0.766
O12 0.493 0.527 0.241
O13 0.507 0.474 0.759
O14 0.528 0.972 0.234
O15 0.664 0.188 0.905
O16 0.667 0.642 0.901
O17 0.672 0.648 0.428
O18 0.683 0.158 0.428
O19 0.809 0.353 0.094
O20 0.823 0.860 0.573
O21 0.857 0.313 0.570
O22 0.861 0.808 0.091
O23 0.980 0.522 0.237
O24 0.994 0.986 0.239

Peak list (8 most intense, 2θ = 5–70°, in order of falling intensity)
18.58°, I 100; 43.50°, I 21; 44.77°, I 20; 44.91°, I 19; 36.02°, I 14; 37.02°, I 12; 48.52°, I 12; 37.15°, I 12

***

(6)
This entry pairs a crystal structure of Li2CoNiO4 with its computed powder diffractogram. Radiation: Cu Kα X-rays. Structure: a DFT-relaxed cell (GGA+U, the Materials Project).
Kinematic intensities with the Lorentz-polarization factor, no thermal factor.

Cell and atoms:
Cell lengths 5.791, 5.791, 5.791 Å; angles 120.64, 120.42, 89.09 degrees
Fractional positions:
Li1 0.000 0.000 0.000
Li2 0.500 0.000 0.000
Li3 0.500 0.000 0.500
Li4 0.500 0.500 0.500
Co1 0.000 0.000 0.500
Co2 0.000 0.500 0.000
Ni1 0.000 0.500 0.500
Ni2 0.500 0.500 0.000
O1 0.228 0.250 0.978
O2 0.229 0.750 0.478
O3 0.234 0.252 0.518
O4 0.234 0.716 0.982
O5 0.766 0.284 0.018
O6 0.766 0.748 0.482
O7 0.771 0.250 0.522
O8 0.772 0.750 0.022

Peak list (8 most intense, 2θ = 5–70°, in order of falling intensity)
18.82°, I 100; 44.61°, I 47; 36.63°, I 27; 64.36°, I 26; 43.87°, I 25; 38.17°, I 21; 36.20°, I 15; 48.47°, I 10

***

(7)
This entry pairs a crystal structure of Li3Co2NiO6 with its computed powder diffractogram. Radiation: Cu Kα X-rays. Structure: a DFT-relaxed cell (GGA+U, the Materials Project).
Kinematic intensities with the Lorentz-polarization factor, no thermal factor.

Cell and atoms:
Cell lengths 6.502, 6.502, 11.722 Å; angles 103.54, 103.54, 25.61 degrees
Fractional positions:
Li1 0.000 0.000 0.000
Li2 0.003 0.003 0.502
Li3 0.330 0.330 0.827
Li4 0.333 0.333 0.341
Li5 0.664 0.664 0.668
Li6 0.667 0.667 0.176
Co1 0.332 0.332 0.084
Co2 0.336 0.336 0.587
Co3 0.667 0.667 0.417
Co4 0.668 0.668 0.921
Ni1 0.000 0.000 0.252
Ni2 0.001 0.001 0.754
O1 0.167 0.167 0.304
O2 0.169 0.169 0.811
O3 0.172 0.172 0.530
O4 0.177 0.177 0.036
O5 0.484 0.484 0.126
O6 0.491 0.491 0.627
O7 0.511 0.511 0.374
O8 0.513 0.513 0.879
O9 0.824 0.824 0.463
O10 0.826 0.826 0.974
O11 0.830 0.830 0.191
O12 0.830 0.830 0.703

Peak list (8 most intense, 2θ = 5–70°, in order of falling intensity)
18.52°, I 100; 44.09°, I 71; 36.43°, I 41; 64.38°, I 13; 63.91°, I 13; 38.16°, I 10; 58.05°, I 10; 48.33°, I 9